Diffraction record for YNbTe2O8. The XRD peak list is calculated, not measured: it uses DFT lattice parameters and positions (GGA-PBE) and a wavelength of 1.5418 Å.
Lines closer than 0.1° are merged.

Atomic structure:
Cell: 7.7162 8.1413 22.2604 Å, 90.00 90.00 90.00°
Space group Cmce (No. 64)
Unique sites:
Y: 0.2469 0.0000 0.0000 (multiplicity 8)
Nb: 0.2500 0.0034 0.2500 (multiplicity 8)
Te: 0.0000 0.1768 0.1304 (multiplicity 8)
Te: 0.0000 0.1912 0.3941 (multiplicity 8)
O: 0.0000 0.0154 0.5644 (multiplicity 8)
O: 0.0000 0.0262 0.2710 (multiplicity 8)
O: 0.0000 0.0704 0.0553 (multiplicity 8)
O: 0.1852 0.0403 0.1607 (multiplicity 16)
O: 0.1903 0.2427 0.9433 (multiplicity 16)
O: 0.2500 0.2211 0.7500 (multiplicity 8)

The 10 most intense peaks (2θ = 15–90°), sorted by position:
d [Å], I_rel
4.004, 226
3.569, 166
3.286, 664
3.171, 1000
2.800, 358
2.781, 360
2.620, 140
1.974, 336
1.929, 190
1.664, 206